Computed powder diffractogram of KYTa2O7 for λ = 1.5418 Å (Cu Kα), from a structure optimized by DFT (PBE).
No peak broadening, texture or thermal motion is included.

Cell and atoms:
Cell: 7.4308 7.5482 10.7569 Å, 90.00 90.00 90.00°
Space group Imma (No. 74)
Asymmetric unit:
K: 0.2500 0.2500 0.2500 (multiplicity 4)
Y: 0.0000 0.0000 0.0000 (multiplicity 4)
Ta: 0.0000 0.0000 0.5000 (multiplicity 4)
Ta: 0.2500 0.2500 0.7500 (multiplicity 4)
O: 0.0000 0.2500 0.0903 (multiplicity 4)
O: 0.0000 0.2500 0.4425 (multiplicity 4)
O: 0.0000 0.2500 0.8160 (multiplicity 4)
O: 0.1959 0.0647 0.6216 (multiplicity 16)

Main lines, low angle first (15 to 90 degrees two-theta):
| 2θ (°) | intensity | (hkl) |
| --- | --- | --- |
| 28.02 | 206 | 2 1 1 |
| 28.90 | 975 | 0 2 2 |
| 29.21 | 1000 | 2 0 2 |
| 33.32 | 243 | 0 0 4 |
| 33.86 | 446 | 2 2 0 |
| 48.23 | 711 | 0 4 0 |
| 57.38 | 296 | 2 4 2 |
| 57.92 | 272 | 4 2 2 |